[1]
Computed X-ray diffraction stick pattern
Compound: Ho7InTe2
Radiation: λ = 1.5418 Å (Cu Kα)
Structure: a structure optimized by DFT (GGA-PBE)
No peak broadening, texture or thermal motion is included.

Cell: 8.582 8.582 5.417 Å, 90.00 90.00 118.33°
Sites, in units of the cell vectors:
Ho1 0.000 0.000 0.000
Ho2 0.199 0.436 0.000
Ho3 0.272 0.728 0.500
Ho4 0.436 0.199 0.000
Ho5 0.564 0.801 0.000
Ho6 0.728 0.272 0.500
Ho7 0.801 0.564 0.000
In1 0.500 0.500 0.500
Te1 0.201 0.799 0.000
Te2 0.799 0.201 0.000

Top 6 peaks for 15 to 90 degrees two-theta, by angle:
| two_theta | I_rel |
| --- | --- |
| 16.4 | 74 |
| 31.7 | 88 |
| 33.1 | 78 |
| 35.3 | 87 |
| 36.2 | 100 |
| 46.5 | 61 |

=====

[2]
Computed X-ray diffraction stick pattern
Compound: PrSm12Th5
Radiation: λ = 1.5418 Å (Cu Kα)
Structure: a structure optimized by DFT (GGA-PBE)
No peak broadening, texture or thermal motion is included.

Cell: 10.832 10.832 6.275 Å, 106.40 106.40 59.95°
Sites, in units of the cell vectors:
Pr1 0.000 0.000 0.000
Sm1 0.004 0.333 0.337
Sm2 0.166 0.834 0.500
Sm3 0.170 0.497 0.167
Sm4 0.333 0.004 0.337
Sm5 0.340 0.660 0.000
Sm6 0.497 0.170 0.167
Sm7 0.503 0.830 0.833
Sm8 0.660 0.340 0.000
Sm9 0.667 0.996 0.663
Sm10 0.830 0.503 0.833
Sm11 0.834 0.166 0.500
Sm12 0.996 0.667 0.663
Th1 0.169 0.169 0.828
Th2 0.334 0.334 0.668
Th3 0.500 0.500 0.500
Th4 0.666 0.666 0.332
Th5 0.831 0.831 0.172

Top 6 peaks for 15 to 90 degrees two-theta, by angle:
| two_theta | I_rel |
| --- | --- |
| 30.3 | 100 |
| 34.9 | 17 |
| 35.2 | 34 |
| 50.4 | 24 |
| 60.1 | 14 |
| 60.1 | 14 |

=====

[3]
Computed X-ray diffraction stick pattern
Compound: Tm2SiNi6
Radiation: λ = 1.5418 Å (Cu Kα)
Structure: a structure optimized by DFT (GGA-PBE)
No peak broadening, texture or thermal motion is included.

Cell: 5.158 5.158 5.636 Å, 102.12 102.12 60.61°
Sites, in units of the cell vectors:
Tm1 0.143 0.143 0.342
Tm2 0.857 0.857 0.658
Si1 0.500 0.500 0.500
Ni1 0.106 0.623 0.175
Ni2 0.377 0.894 0.825
Ni3 0.381 0.381 0.817
Ni4 0.619 0.619 0.183
Ni5 0.623 0.106 0.175
Ni6 0.894 0.377 0.825

Top 6 peaks for 15 to 90 degrees two-theta, by angle:
| two_theta | I_rel |
| --- | --- |
| 27.4 | 30 |
| 36.3 | 32 |
| 41.8 | 100 |
| 43.3 | 21 |
| 45.9 | 41 |
| 46.8 | 19 |

=====

[4]
Computed X-ray diffraction stick pattern
Compound: Ho5ZnPd2
Radiation: λ = 1.5418 Å (Cu Kα)
Structure: a structure optimized by DFT (GGA-PBE)
No peak broadening, texture or thermal motion is included.

Cell: 8.569 8.569 8.569 Å, 126.24 126.24 79.49°
Sites, in units of the cell vectors:
Ho1 0.000 0.000 0.000
Ho2 0.017 0.517 0.821
Ho3 0.196 0.017 0.500
Ho4 0.304 0.804 0.821
Ho5 0.483 0.304 0.500
Ho6 0.500 0.500 0.000
Ho7 0.517 0.696 0.500
Ho8 0.696 0.196 0.179
Ho9 0.804 0.983 0.500
Ho10 0.983 0.483 0.179
Zn1 0.250 0.250 0.000
Zn2 0.750 0.750 0.000
Pd1 0.134 0.366 0.500
Pd2 0.366 0.866 0.233
Pd3 0.634 0.134 0.767
Pd4 0.866 0.634 0.500

Top 6 peaks for 15 to 90 degrees two-theta, by angle:
| two_theta | I_rel |
| --- | --- |
| 26.6 | 14 |
| 31.7 | 14 |
| 32.9 | 100 |
| 35.8 | 23 |
| 36.7 | 49 |
| 68.7 | 25 |

=====

[5]
Computed X-ray diffraction stick pattern
Compound: Pr5Nd2Er
Radiation: λ = 1.5418 Å (Cu Kα)
Structure: a structure optimized by DFT (GGA-PBE)
No peak broadening, texture or thermal motion is included.

Cell: 7.344 14.741 5.205 Å, 90.00 90.00 90.00°
Sites, in units of the cell vectors:
Pr1 0.000 0.000 0.000
Pr2 0.000 0.252 0.000
Pr3 0.000 0.748 0.000
Pr4 0.248 0.377 0.500
Pr5 0.252 0.877 0.500
Pr6 0.500 0.248 0.000
Pr7 0.500 0.500 0.000
Pr8 0.500 0.752 0.000
Pr9 0.748 0.123 0.500
Pr10 0.752 0.623 0.500
Nd1 0.249 0.624 0.500
Nd2 0.251 0.124 0.500
Nd3 0.749 0.876 0.500
Nd4 0.751 0.376 0.500
Er1 0.000 0.500 0.000
Er2 0.500 0.000 0.000

Top 6 peaks for 15 to 90 degrees two-theta, by angle:
| two_theta | I_rel |
| --- | --- |
| 29.7 | 100 |
| 34.5 | 51 |
| 49.5 | 30 |
| 58.8 | 29 |
| 58.9 | 14 |
| 83.0 | 11 |

=====

[6]
Computed X-ray diffraction stick pattern
Compound: Nd2Si4Ir3Pt
Radiation: λ = 1.5418 Å (Cu Kα)
Structure: a structure optimized by DFT (GGA-PBE)
No peak broadening, texture or thermal motion is included.

Cell: 4.179 4.179 10.045 Å, 90.00 90.00 90.00°
Sites, in units of the cell vectors:
Nd1 0.000 0.500 0.241
Nd2 0.500 0.000 0.759
Si1 0.000 0.000 0.000
Si2 0.000 0.500 0.636
Si3 0.500 0.000 0.364
Si4 0.500 0.500 0.000
Ir1 0.000 0.500 0.875
Ir2 0.500 0.000 0.125
Ir3 0.500 0.500 0.500
Pt1 0.000 0.000 0.500

Top 6 peaks for 15 to 90 degrees two-theta, by angle:
| two_theta | I_rel |
| --- | --- |
| 26.6 | 33 |
| 31.6 | 80 |
| 34.3 | 67 |
| 35.2 | 100 |
| 43.3 | 71 |
| 56.4 | 33 |

=====

[7]
Computed X-ray diffraction stick pattern
Compound: Ho3Zn3Au
Radiation: λ = 1.5418 Å (Cu Kα)
Structure: a structure optimized by DFT (GGA-PBE)
No peak broadening, texture or thermal motion is included.

Cell: 10.051 10.051 10.051 Å, 159.32 154.36 33.17°
Sites, in units of the cell vectors:
Ho1 0.000 0.000 0.000
Ho2 0.386 0.386 0.000
Ho3 0.697 0.197 0.500
Zn1 0.124 0.624 0.500
Zn2 0.554 0.554 0.000
Zn3 0.839 0.839 0.000
Au1 0.259 0.759 0.500

Top 6 peaks for 15 to 90 degrees two-theta, by angle:
| two_theta | I_rel |
| --- | --- |
| 33.3 | 100 |
| 34.0 | 51 |
| 38.4 | 50 |
| 40.4 | 30 |
| 53.9 | 28 |
| 65.3 | 21 |

=====

[8]
Computed X-ray diffraction stick pattern
Compound: PrNdSnSe
Radiation: λ = 1.5418 Å (Cu Kα)
Structure: a structure optimized by DFT (GGA-PBE)
No peak broadening, texture or thermal motion is included.

Cell: 4.409 4.409 6.248 Å, 90.00 90.00 90.00°
Sites, in units of the cell vectors:
Pr1 0.000 0.000 0.000
Nd1 0.500 0.500 0.500
Sn1 0.000 0.000 0.500
Se1 0.500 0.500 0.000

Top 6 peaks for 15 to 90 degrees two-theta, by angle:
| two_theta | I_rel |
| --- | --- |
| 28.6 | 100 |
| 40.9 | 76 |
| 50.7 | 27 |
| 67.1 | 24 |
| 67.1 | 12 |
| 74.5 | 26 |